1.
This entry pairs a crystal structure of LiMnP3O9 with its theoretical powder diffraction line list. Radiation: Cu Kα X-rays. Structure: a crystal structure in the Materials Project, relaxed with PBE+U.

```
data_LiMnP3O9
_symmetry_space_group_name_H-M 'P 1'
_symmetry_Int_Tables_number 1
_cell_length_a 5.3928
_cell_length_b 10.8290
_cell_length_c 12.0789
_cell_angle_alpha 90.00
_cell_angle_beta 90.00
_cell_angle_gamma 90.00
loop_
_symmetry_equiv_pos_as_xyz
'x,y,z'
loop_
_atom_site_label
_atom_site_fract_x
_atom_site_fract_y
_atom_site_fract_z
_atom_site_occupancy
Li1 0.1008 0.1160 0.0821 1
Li2 0.3992 0.8840 0.5821 1
Li3 0.6008 0.3840 0.9179 1
Li4 0.8992 0.6160 0.4179 1
Mn1 0.0968 0.4707 0.1341 1
Mn2 0.4032 0.5293 0.6341 1
Mn3 0.5968 0.0293 0.8659 1
Mn4 0.9032 0.9707 0.3659 1
P1 0.0843 0.1928 0.8192 1
P2 0.1055 0.8470 0.8587 1
P3 0.1199 0.5763 0.8752 1
P4 0.3801 0.4237 0.3752 1
P5 0.3945 0.1530 0.3587 1
P6 0.4157 0.8072 0.3192 1
P7 0.5843 0.3072 0.1808 1
P8 0.6055 0.6530 0.1413 1
P9 0.6199 0.9237 0.1248 1
P10 0.8801 0.0763 0.6248 1
P11 0.8945 0.3470 0.6413 1
P12 0.9157 0.6928 0.6808 1
O1 0.0050 0.4921 0.9595 1
O2 0.0397 0.4378 0.5735 1
O3 0.0756 0.3166 0.7460 1
O4 0.0859 0.0891 0.7227 1
O5 0.1205 0.7159 0.9234 1
O6 0.1356 0.4593 0.3231 1
O7 0.1402 0.1201 0.3172 1
O8 0.1517 0.6870 0.6132 1
O9 0.1729 0.8150 0.3789 1
O10 0.3271 0.1850 0.8789 1
O11 0.3483 0.3130 0.1132 1
O12 0.3598 0.8799 0.8172 1
O13 0.3644 0.5407 0.8231 1
O14 0.3795 0.2841 0.4234 1
O15 0.4141 0.9109 0.2227 1
O16 0.4244 0.6834 0.2460 1
O17 0.4603 0.5622 0.0735 1
O18 0.4950 0.5079 0.4595 1
O19 0.5050 0.0079 0.0405 1
O20 0.5397 0.0622 0.4265 1
O21 0.5756 0.1834 0.2540 1
O22 0.5859 0.4109 0.2773 1
O23 0.6205 0.7841 0.0766 1
O24 0.6356 0.0407 0.6769 1
O25 0.6402 0.3799 0.6828 1
O26 0.6517 0.8130 0.3868 1
O27 0.6729 0.6850 0.6211 1
O28 0.8271 0.3150 0.1211 1
O29 0.8483 0.1870 0.8868 1
O30 0.8598 0.6201 0.1828 1
O31 0.8644 0.9593 0.1769 1
O32 0.8795 0.2159 0.5766 1
O33 0.9141 0.5891 0.7773 1
O34 0.9244 0.8166 0.7540 1
O35 0.9603 0.9378 0.9265 1
O36 0.9950 0.9921 0.5405 1
```

Top 10 peaks for 10° ≤ 2θ ≤ 90°, in order of rising 2θ:
14.7°, I 44.3; 16.8°, I 85.1; 18.0°, I 100.0; 19.8°, I 50.0; 24.4°, I 74.5; 28.9°, I 48.8; 29.6°, I 58.4; 30.7°, I 61.0; 33.3°, I 55.6; 37.4°, I 40.2

2.
This entry pairs a crystal structure of LiMnP2HO7 with its theoretical powder diffraction line list. Radiation: Cu Kα X-rays. Structure: a crystal structure in the Materials Project, relaxed with PBE+U.

```
data_LiMnP2HO7
_symmetry_space_group_name_H-M 'P 1'
_symmetry_Int_Tables_number 1
_cell_length_a 6.5835
_cell_length_b 6.5897
_cell_length_c 6.6637
_cell_angle_alpha 89.59
_cell_angle_beta 69.47
_cell_angle_gamma 83.42
loop_
_symmetry_equiv_pos_as_xyz
'x,y,z'
loop_
_atom_site_label
_atom_site_fract_x
_atom_site_fract_y
_atom_site_fract_z
_atom_site_occupancy
Li1 0.2412 0.3807 0.3457 1
Li2 0.7588 0.6193 0.6543 1
Mn1 0.1043 0.1522 0.7784 1
Mn2 0.8957 0.8478 0.2216 1
P1 0.2272 0.6579 0.7286 1
P2 0.3599 0.8865 0.3174 1
P3 0.6401 0.1135 0.6826 1
P4 0.7728 0.3421 0.2714 1
H1 0.3440 0.6666 0.9970 1
H2 0.6560 0.3334 0.0030 1
O1 0.0540 0.8256 0.8611 1
O2 0.1314 0.4777 0.6675 1
O3 0.2313 0.0886 0.4266 1
O4 0.2311 0.7643 0.2154 1
O5 0.3847 0.7425 0.5136 1
O6 0.3954 0.5923 0.8456 1
O7 0.4062 0.1049 0.8254 1
O8 0.5938 0.8951 0.1746 1
O9 0.6046 0.4077 0.1544 1
O10 0.6153 0.2575 0.4864 1
O11 0.7689 0.2357 0.7846 1
O12 0.7687 0.9114 0.5734 1
O13 0.8686 0.5223 0.3325 1
O14 0.9460 0.1744 0.1389 1
```

Top 10 peaks for 10° ≤ 2θ ≤ 90°, in order of rising 2θ:
13.5°, I 58.2; 16.3°, I 100.0; 18.6°, I 32.4; 27.6°, I 84.4; 28.5°, I 27.6; 28.6°, I 85.6; 29.4°, I 73.7; 30.4°, I 83.3; 31.3°, I 65.2; 33.8°, I 26.0

3.
This entry pairs a crystal structure of LiFe5P3O13 with its theoretical powder diffraction line list. Radiation: Cu Kα X-rays. Structure: a crystal structure in the Materials Project, relaxed with PBE+U.

```
data_LiFe5P3O13
_symmetry_space_group_name_H-M 'P 1'
_symmetry_Int_Tables_number 1
_cell_length_a 6.3837
_cell_length_b 8.5538
_cell_length_c 9.7283
_cell_angle_alpha 85.76
_cell_angle_beta 88.66
_cell_angle_gamma 89.89
loop_
_symmetry_equiv_pos_as_xyz
'x,y,z'
loop_
_atom_site_label
_atom_site_fract_x
_atom_site_fract_y
_atom_site_fract_z
_atom_site_occupancy
Li1 0.2388 0.4070 0.0538 1
Li2 0.7612 0.5930 0.9462 1
Fe1 0.0014 0.1280 0.7236 1
Fe2 0.2507 0.5752 0.3989 1
Fe3 0.2518 0.8484 0.5974 1
Fe4 0.2561 0.7864 0.9351 1
Fe5 0.4928 0.8719 0.2769 1
Fe6 0.5072 0.1281 0.7231 1
Fe7 0.7439 0.2136 0.0649 1
Fe8 0.7482 0.1516 0.4026 1
Fe9 0.7493 0.4248 0.6011 1
Fe10 0.9986 0.8720 0.2764 1
P1 0.2476 0.1079 0.0197 1
P2 0.2509 0.1763 0.4042 1
P3 0.2540 0.4725 0.7462 1
P4 0.7460 0.5275 0.2538 1
P5 0.7491 0.8237 0.5958 1
P6 0.7524 0.8921 0.9803 1
O1 0.0509 0.1063 0.3436 1
O2 0.0532 0.3705 0.7434 1
O3 0.0563 0.2130 0.0430 1
O4 0.2396 0.8036 0.3983 1
O5 0.2485 0.3528 0.3733 1
O6 0.2490 0.9514 0.1119 1
O7 0.2512 0.0511 0.8668 1
O8 0.2518 0.5553 0.8855 1
O9 0.2567 0.1252 0.5620 1
O10 0.2573 0.5985 0.6226 1
O11 0.4337 0.2174 0.0393 1
O12 0.4518 0.1087 0.3357 1
O13 0.4551 0.3701 0.7380 1
O14 0.5449 0.6299 0.2620 1
O15 0.5482 0.8913 0.6643 1
O16 0.5663 0.7826 0.9607 1
O17 0.7427 0.4015 0.3774 1
O18 0.7433 0.8748 0.4380 1
O19 0.7482 0.4447 0.1145 1
O20 0.7488 0.9489 0.1332 1
O21 0.7510 0.0486 0.8881 1
O22 0.7515 0.6472 0.6267 1
O23 0.7604 0.1964 0.6017 1
O24 0.9437 0.7870 0.9570 1
O25 0.9468 0.6295 0.2566 1
O26 0.9491 0.8937 0.6564 1
```

Top 10 peaks for 10° ≤ 2θ ≤ 90°, in order of rising 2θ:
10.4°, I 100.0; 27.6°, I 42.4; 28.0°, I 36.4; 28.8°, I 46.0; 30.3°, I 59.7; 31.5°, I 47.7; 31.8°, I 34.8; 33.2°, I 39.1; 34.0°, I 31.9; 57.8°, I 30.5

4.
This entry pairs a crystal structure of Ba2LiV2Si4O14 with its theoretical powder diffraction line list. Radiation: Cu Kα X-rays. Structure: a crystal structure in the Materials Project, relaxed with PBE+U.

```
data_Ba2LiV2Si4O14
_symmetry_space_group_name_H-M 'P 1'
_symmetry_Int_Tables_number 1
_cell_length_a 5.5261
_cell_length_b 7.2769
_cell_length_c 8.1165
_cell_angle_alpha 88.44
_cell_angle_beta 71.43
_cell_angle_gamma 87.42
loop_
_symmetry_equiv_pos_as_xyz
'x,y,z'
loop_
_atom_site_label
_atom_site_fract_x
_atom_site_fract_y
_atom_site_fract_z
_atom_site_occupancy
Ba1 0.0000 0.0000 0.0000 1
Ba2 0.3843 0.5357 0.2111 1
Li1 0.9454 0.3887 0.0744 1
V1 0.1614 0.5577 0.7624 1
V2 0.2973 0.0316 0.3923 1
Si1 0.5705 0.2535 0.8337 1
Si2 0.6125 0.8004 0.8032 1
Si3 0.7870 0.3094 0.4179 1
Si4 0.7973 0.7589 0.3872 1
O1 0.0756 0.2234 0.3172 1
O2 0.0780 0.8473 0.3045 1
O3 0.1901 0.0137 0.6044 1
O4 0.2243 0.5339 0.5429 1
O5 0.2714 0.3335 0.8994 1
O6 0.3361 0.7127 0.8961 1
O7 0.5657 0.0234 0.8546 1
O8 0.5807 0.2201 0.3411 1
O9 0.5933 0.8480 0.2953 1
O10 0.6903 0.7771 0.5948 1
O11 0.7041 0.3097 0.6282 1
O12 0.7305 0.3172 0.9550 1
O13 0.8243 0.5307 0.3302 1
O14 0.8334 0.7150 0.8789 1
```

Top 10 peaks for 10° ≤ 2θ ≤ 90°, in order of rising 2θ:
11.5°, I 62.8; 20.5°, I 48.4; 26.1°, I 59.3; 26.2°, I 63.3; 26.4°, I 62.5; 27.4°, I 52.4; 29.4°, I 100.0; 30.5°, I 71.9; 32.4°, I 87.5; 42.0°, I 48.7

5.
This entry pairs a crystal structure of Li6V3NiP6O24 with its theoretical powder diffraction line list. Radiation: Cu Kα X-rays. Structure: a crystal structure in the Materials Project, relaxed with PBE+U.

```
data_Li6V3NiP6O24
_symmetry_space_group_name_H-M 'P 1'
_symmetry_Int_Tables_number 1
_cell_length_a 8.5082
_cell_length_b 8.5291
_cell_length_c 8.5663
_cell_angle_alpha 62.07
_cell_angle_beta 62.05
_cell_angle_gamma 62.31
loop_
_symmetry_equiv_pos_as_xyz
'x,y,z'
loop_
_atom_site_label
_atom_site_fract_x
_atom_site_fract_y
_atom_site_fract_z
_atom_site_occupancy
Li1 0.0000 0.0000 0.0000 1
Li2 0.0842 0.8615 0.5275 1
Li3 0.1785 0.3581 0.4639 1
Li4 0.3675 0.7137 0.1543 1
Li5 0.6384 0.5458 0.8164 1
Li6 0.8303 0.2217 0.6705 1
V1 0.2046 0.5645 0.0224 1
V2 0.4899 0.8548 0.3053 1
V3 0.7074 0.0720 0.5265 1
Ni1 0.9934 0.3559 0.8183 1
P1 0.0985 0.1583 0.2143 1
P2 0.3041 0.9593 0.7043 1
P3 0.3979 0.4604 0.6154 1
P4 0.5970 0.2496 0.1270 1
P5 0.7977 0.7567 0.9193 1
P6 0.8911 0.6714 0.4184 1
O1 0.0413 0.1774 0.0603 1
O2 0.0880 0.6272 0.2697 1
O3 0.1202 0.1285 0.7099 1
O4 0.1629 0.3175 0.1718 1
O5 0.2353 0.4111 0.6364 1
O6 0.2537 0.9600 0.2463 1
O7 0.2682 0.8117 0.9044 1
O8 0.3306 0.8912 0.5512 1
O9 0.3568 0.5231 0.7756 1
O10 0.4208 0.6251 0.4247 1
O11 0.4498 0.4494 0.0874 1
O12 0.4756 0.0017 0.6648 1
O13 0.5179 0.0939 0.1794 1
O14 0.5862 0.3002 0.6038 1
O15 0.6042 0.7909 0.0754 1
O16 0.6515 0.2168 0.2866 1
O17 0.7273 0.7350 0.3486 1
O18 0.7617 0.2475 0.9401 1
O19 0.8046 0.9395 0.7518 1
O20 0.8131 0.5986 0.8687 1
O21 0.8785 0.8275 0.4710 1
O22 0.8835 0.4864 0.5851 1
O23 0.9460 0.1397 0.4103 1
O24 0.9608 0.7109 0.9830 1
```

Top 10 peaks for 10° ≤ 2θ ≤ 90°, in order of rising 2θ:
14.4°, I 19.9; 20.2°, I 35.5; 20.8°, I 49.7; 20.9°, I 23.7; 24.0°, I 100.0; 24.1°, I 49.8; 29.1°, I 26.8; 31.3°, I 28.7; 33.0°, I 25.6; 35.3°, I 33.9

6.
This entry pairs a crystal structure of Li3TiV4O8 with its theoretical powder diffraction line list. Radiation: Cu Kα X-rays. Structure: a crystal structure in the Materials Project, relaxed with PBE+U.

```
data_Li3TiV4O8
_symmetry_space_group_name_H-M 'P 1'
_symmetry_Int_Tables_number 1
_cell_length_a 6.0427
_cell_length_b 6.0427
_cell_length_c 6.0850
_cell_angle_alpha 119.78
_cell_angle_beta 119.78
_cell_angle_gamma 60.43
loop_
_symmetry_equiv_pos_as_xyz
'x,y,z'
loop_
_atom_site_label
_atom_site_fract_x
_atom_site_fract_y
_atom_site_fract_z
_atom_site_occupancy
Li1 0.0000 0.0000 0.0000 1
Li2 0.0000 0.5000 0.0000 1
Li3 0.5000 0.0000 0.0000 1
Ti1 0.5000 0.5000 0.5000 1
V1 0.0000 0.0000 0.5000 1
V2 0.0000 0.5000 0.5000 1
V3 0.5000 0.0000 0.5000 1
V4 0.5000 0.5000 0.0000 1
O1 0.2499 0.2499 0.7380 1
O2 0.2588 0.7348 0.7342 1
O3 0.2652 0.7412 0.2658 1
O4 0.2663 0.2663 0.2738 1
O5 0.7337 0.7337 0.7262 1
O6 0.7348 0.2588 0.7342 1
O7 0.7412 0.2652 0.2658 1
O8 0.7501 0.7501 0.2620 1
```

Top 10 peaks for 10° ≤ 2θ ≤ 90°, in order of rising 2θ:
17.8°, I 89.8; 20.6°, I 10.4; 34.7°, I 23.0; 36.3°, I 18.0; 42.0°, I 100.0; 42.3°, I 48.7; 46.1°, I 9.4; 60.9°, I 54.5; 61.4°, I 26.8; 77.0°, I 12.2